Diffraction record for BW2N4. The powder XRD pattern is computed, not measured: it uses a structure optimized by DFT (GGA-PBE) and Cu Kα, 1.54184 Å.

Peak list (10 most intense, 2θ from 15° to 90°, low angle first)
| Position (°2θ) | intensity |
| --- | --- |
| 19.11 | 100 |
| 36.97 | 23 |
| 37.12 | 47 |
| 38.79 | 56 |
| 44.92 | 15 |
| 45.18 | 31 |
| 49.36 | 20 |
| 65.61 | 20 |
| 69.18 | 12 |
| 79.09 | 16 |

a b c (Å): 5.677 5.677 8.071
angles (deg): 90.00 90.00 90.00
Positions (direct):
B  0.245  0.245  0.000
B  0.255  0.745  0.250
B  0.745  0.255  0.750
B  0.755  0.755  0.500
W  0.012  0.252  0.386
W  0.248  0.512  0.636
W  0.252  0.012  0.614
W  0.488  0.752  0.864
W  0.512  0.248  0.364
W  0.748  0.988  0.114
W  0.752  0.488  0.136
W  0.988  0.748  0.886
N  0.016  0.244  0.115
N  0.028  0.743  0.137
N  0.243  0.472  0.887
N  0.244  0.016  0.885
N  0.256  0.516  0.365
N  0.257  0.972  0.363
N  0.472  0.243  0.113
N  0.484  0.744  0.135
N  0.516  0.256  0.635
N  0.528  0.757  0.613
N  0.743  0.028  0.863
N  0.744  0.484  0.865
N  0.756  0.984  0.385
N  0.757  0.528  0.387
N  0.972  0.257  0.637
N  0.984  0.756  0.615

=====

Diffraction record for Co5Ni8. The powder XRD pattern is computed, not measured: it uses a structure optimized by DFT (GGA-PBE) and Cu Kα, 1.54184 Å.

Peak list (10 most intense, 2θ from 15° to 90°, low angle first)
| Position (°2θ) | intensity |
| --- | --- |
| 39.46 | 46 |
| 43.95 | 43 |
| 45.08 | 27 |
| 45.69 | 100 |
| 46.05 | 47 |
| 47.39 | 50 |
| 48.44 | 21 |
| 49.83 | 50 |
| 53.41 | 25 |
| 84.94 | 30 |

a b c (Å): 8.465 8.465 8.465
angles (deg): 31.30 31.30 31.30
Positions (direct):
Co  0.000  0.000  0.000
Co  0.348  0.348  0.348
Co  0.454  0.454  0.454
Co  0.546  0.546  0.546
Co  0.652  0.652  0.652
Ni  0.089  0.089  0.585
Ni  0.089  0.585  0.089
Ni  0.166  0.166  0.166
Ni  0.415  0.911  0.911
Ni  0.585  0.089  0.089
Ni  0.834  0.834  0.834
Ni  0.911  0.415  0.911
Ni  0.911  0.911  0.415

=====

Diffraction record for Sm2ErCo2B2N3. The powder XRD pattern is computed, not measured: it uses a structure optimized by DFT (GGA-PBE) and Cu Kα, 1.54184 Å.

Peak list (10 most intense, 2θ from 15° to 90°, low angle first)
| Position (°2θ) | intensity |
| --- | --- |
| 28.65 | 100 |
| 34.00 | 74 |
| 35.93 | 40 |
| 36.30 | 46 |
| 37.10 | 40 |
| 40.43 | 26 |
| 51.73 | 36 |
| 60.20 | 27 |
| 63.36 | 26 |
| 64.83 | 33 |

a b c (Å): 10.210 10.210 10.210
angles (deg): 160.07 160.07 28.34
Positions (direct):
Sm  0.125  0.125  0.000
Sm  0.875  0.875  0.000
Er  0.500  0.500  0.000
Co  0.250  0.750  0.500
Co  0.750  0.250  0.500
B  0.305  0.305  0.000
B  0.695  0.695  0.000
N  0.000  0.000  0.000
N  0.382  0.382  0.000
N  0.618  0.618  0.000